# 1
Sr4MgNi2Cl2O6: theoretical X-ray powder pattern (Cu Ka), based on a structure optimized by DFT (GGA+U).

Principal peaks in the range 5° ≤ 2θ ≤ 70°, in order of falling intensity:
- 36.5 deg, intensity 100, (0 1 5)
- 32.2 deg, intensity 62, (1 1 0)
- 11.2 deg, intensity 53, (0 0 2)
- 60.3 deg, intensity 43, (2 1 5)
- 46.2 deg, intensity 40, (2 0 0)
- 39.7 deg, intensity 25, (1 1 4)

Crystal structure
Cell: 3.9239 3.9318 15.8135 Å, 90.00 90.00 90.00°
Space group Pmm2 (No. 25)
Symmetry-distinct sites (fractional):
Sr1 0.0000 0.0000 0.0000 (multiplicity 1)
Sr2 0.0000 0.0000 0.2048 (multiplicity 1)
Sr3 0.5000 0.5000 0.4861 (multiplicity 1)
Sr4 0.5000 0.5000 0.7027 (multiplicity 1)
Mg1 0.0000 0.5000 0.3381 (multiplicity 1)
Ni1 0.0000 0.0000 0.5883 (multiplicity 1)
Ni2 0.5000 0.5000 0.1275 (multiplicity 1)
Cl1 0.0000 0.0000 0.7758 (multiplicity 1)
Cl2 0.5000 0.5000 0.9196 (multiplicity 1)
O1 0.0000 0.0000 0.3904 (multiplicity 1)
O2 0.0000 0.5000 0.1089 (multiplicity 1)
O3 0.0000 0.5000 0.5862 (multiplicity 1)
O4 0.5000 0.0000 0.1048 (multiplicity 1)
O5 0.5000 0.0000 0.5911 (multiplicity 1)
O6 0.5000 0.5000 0.2736 (multiplicity 1)

***

# 2
Sr4MgNi2Cl2O6: theoretical X-ray powder pattern (Cu Ka), based on a structure optimized by DFT (GGA+U).

Principal peaks in the range 5° ≤ 2θ ≤ 70°, in order of falling intensity:
- 32.7 deg, intensity 100, (1 1 0)
- 46.9 deg, intensity 53, (2 0 0)
- 35.3 deg, intensity 49, (1 0 5)
- 28.0 deg, intensity 48, (1 0 3)
- 31.3 deg, intensity 43, (1 0 4)
- 10.5 deg, intensity 34, (0 0 2)

Crystal structure
Cell: 3.8749 3.8749 16.8729 Å, 90.00 90.00 90.00°
Space group P4mm (No. 99)
Symmetry-distinct sites (fractional):
Sr1 0.0000 0.0000 0.0000 (multiplicity 1)
Sr2 0.0000 0.0000 0.2044 (multiplicity 1)
Sr3 0.5000 0.5000 0.4782 (multiplicity 1)
Sr4 0.5000 0.5000 0.8201 (multiplicity 1)
Mg1 0.5000 0.5000 0.6430 (multiplicity 1)
Ni1 0.0000 0.0000 0.6513 (multiplicity 1)
Ni2 0.5000 0.5000 0.1035 (multiplicity 1)
Cl1 0.0000 0.0000 0.4274 (multiplicity 1)
Cl2 0.5000 0.5000 0.2981 (multiplicity 1)
O1 0.0000 0.0000 0.7744 (multiplicity 1)
O2 0.0000 0.5000 0.1107 (multiplicity 2)
O3 0.0000 0.5000 0.6112 (multiplicity 2)
O4 0.5000 0.5000 0.9506 (multiplicity 1)